# 1
# Sr2Sn2Bi5
Computed powder diffractogram, a wavelength of 1.5418 Å. Input: a DFT-relaxed cell (PBE, Alexandria).
Neutral-atom scattering factors, no anomalous dispersion.

Atomic structure:
```
data_Sr2Sn2Bi5
_chemical_formula_sum 'Sr8 Sn8 Bi20'
_cell_length_a 18.036
_cell_length_b 10.559
_cell_length_c 6.560
_cell_angle_alpha 90.00
_cell_angle_beta 90.00
_cell_angle_gamma 90.00
_symmetry_space_group_name_H-M 'I m a 2'
_symmetry_Int_Tables_number 46
_symmetry_space_group_name_Hall 'I 2 -2a'
loop_
_atom_site_label
_atom_site_type_symbol
_atom_site_fract_x
_atom_site_fract_y
_atom_site_fract_z
_atom_site_occupancy
Sr1 Sr 0.100 0.066 0.000 1
Sn1 Sn 0.000 0.000 0.503 1
Sn2 Sn 0.250 0.588 0.766 1
Bi1 Bi 0.064 0.748 0.254 1
Bi2 Bi 0.160 0.126 0.498 1
Bi3 Bi 0.250 0.598 0.227 1
```

Peak list (8 most intense, 2θ = 15–90°, by angle)
26.11 deg, d = 3.414 Å, I = 1000, (5 1 0)
28.93 deg, d = 3.086 Å, I = 883, (1 1 2)
29.41 deg, d = 3.037 Å, I = 875, (3 3 0)
32.17 deg, d = 2.783 Å, I = 413, (0 2 2)
33.67 deg, d = 2.662 Å, I = 482, (2 2 2)
33.85 deg, d = 2.648 Å, I = 634, (4 0 2)
35.43 deg, d = 2.533 Å, I = 432, (2 4 0)
40.71 deg, d = 2.216 Å, I = 462, (6 0 2)

---

# 2
# Cs3Tl4
Computed powder diffractogram, a wavelength of 1.5418 Å. Input: a DFT-relaxed cell (PBE, Alexandria).
Neutral-atom scattering factors, no anomalous dispersion.

Atomic structure:
```
data_Cs3Tl4
_chemical_formula_sum 'Cs6 Tl8'
_cell_length_a 5.242
_cell_length_b 6.225
_cell_length_c 22.928
_cell_angle_alpha 90.00
_cell_angle_beta 90.00
_cell_angle_gamma 90.00
_symmetry_space_group_name_H-M 'I m m m'
_symmetry_Int_Tables_number 71
_symmetry_space_group_name_Hall '-I 2 2'
loop_
_atom_site_label
_atom_site_type_symbol
_atom_site_fract_x
_atom_site_fract_y
_atom_site_fract_z
_atom_site_occupancy
Cs1 Cs 0.000 0.000 0.000 1
Cs2 Cs 0.000 0.500 0.313 1
Tl1 Tl 0.000 0.000 0.432 1
Tl2 Tl 0.000 0.500 0.133 1
```

Peak list (8 most intense, 2θ = 15–90°, by angle)
23.51 deg, d = 3.785 Å, I = 1000, (1 1 2)
24.11 deg, d = 3.692 Å, I = 765, (0 1 5)
27.14 deg, d = 3.286 Å, I = 412, (1 1 4)
28.68 deg, d = 3.112 Å, I = 568, (0 2 0)
32.23 deg, d = 2.778 Å, I = 567, (1 0 7)
34.21 deg, d = 2.621 Å, I = 358, (2 0 0)
42.29 deg, d = 2.137 Å, I = 346, (2 1 5)
43.68 deg, d = 2.072 Å, I = 495, (1 2 7)

---

# 3
# La3DyIr8
Computed powder diffractogram, a wavelength of 1.5418 Å. Input: a DFT-relaxed cell (PBE, Alexandria).
Neutral-atom scattering factors, no anomalous dispersion.

Atomic structure:
```
data_La3DyIr8
_chemical_formula_sum 'La9 Dy3 Ir24'
_cell_length_a 5.4462
_cell_length_b 5.4462
_cell_length_c 26.6560
_cell_angle_alpha 90.00
_cell_angle_beta 90.00
_cell_angle_gamma 120.00
_symmetry_space_group_name_H-M 'R 3 m'
_symmetry_Int_Tables_number 160
_symmetry_space_group_name_Hall 'R 3 -2"'
loop_
_atom_site_label
_atom_site_type_symbol
_atom_site_fract_x
_atom_site_fract_y
_atom_site_fract_z
_atom_site_occupancy
La1 La 0.0000 0.0000 0.0000 1
La2 La 0.0000 0.0000 0.1249 1
La3 La 0.0000 0.0000 0.5001 1
Dy1 Dy 0.0000 0.0000 0.6251 1
Ir1 Ir 0.0000 0.0000 0.3122 1
Ir2 Ir 0.0000 0.0000 0.8124 1
Ir3 Ir 0.0008 0.5004 0.5637 1
Ir4 Ir 0.1673 0.3346 0.3946 1
```

Peak list (8 most intense, 2θ = 15–90°, by angle)
19.97 deg, d = 4.445 Å, I = 160, (0 1 2)
32.90 deg, d = 2.722 Å, I = 189, (1 1 0)
38.79 deg, d = 2.322 Å, I = 1000, (2 0 2)
40.59 deg, d = 2.223 Å, I = 500, (0 2 4)
62.70 deg, d = 1.482 Å, I = 328, (3 0 6)
69.00 deg, d = 1.361 Å, I = 300, (2 2 0)
82.08 deg, d = 1.174 Å, I = 117, (1 3 10)
83.23 deg, d = 1.161 Å, I = 195, (4 0 4)

---

# 4
# K2TiSi6O15
Computed powder diffractogram, a wavelength of 1.5418 Å. Input: a DFT-relaxed cell (PBE, Alexandria).
Neutral-atom scattering factors, no anomalous dispersion.

Atomic structure:
```
data_K2TiSi6O15
_chemical_formula_sum 'K8 Ti4 Si24 O60'
_cell_length_a 12.753
_cell_length_b 7.389
_cell_length_c 15.374
_cell_angle_alpha 90.00
_cell_angle_beta 106.35
_cell_angle_gamma 90.00
_symmetry_space_group_name_H-M 'C 1 c 1'
_symmetry_Int_Tables_number 9
_symmetry_space_group_name_Hall 'C -2yc'
loop_
_atom_site_label
_atom_site_type_symbol
_atom_site_fract_x
_atom_site_fract_y
_atom_site_fract_z
_atom_site_occupancy
K1 K 0.000 0.075 0.000 1
K2 K 0.465 0.170 0.181 1
Ti1 Ti 0.209 0.246 0.608 1
Si1 Si 0.006 0.439 0.451 1
Si2 Si 0.169 0.088 0.245 1
Si3 Si 0.228 0.436 0.962 1
Si4 Si 0.273 0.455 0.273 1
Si5 Si 0.274 0.024 0.949 1
Si6 Si 0.442 0.285 0.763 1
O1 O 0.057 0.314 0.538 1
O2 O 0.058 0.205 0.238 1
O3 O 0.094 0.406 0.937 1
O4 O 0.141 0.050 0.661 1
O5 O 0.190 0.412 0.704 1
O6 O 0.206 0.020 0.842 1
O7 O 0.213 0.082 0.510 1
O8 O 0.260 0.466 0.377 1
O9 O 0.263 0.240 0.243 1
O10 O 0.273 0.441 0.551 1
O11 O 0.289 0.238 0.980 1
O12 O 0.354 0.179 0.683 1
O13 O 0.400 0.055 0.463 1
O14 O 0.402 0.493 0.780 1
O15 O 0.463 0.179 0.859 1
```

Peak list (8 most intense, 2θ = 15–90°, by angle)
21.21 deg, d = 4.189 Å, I = 402, (1 1 -3)
24.13 deg, d = 3.689 Å, I = 591, (0 0 4)
24.49 deg, d = 3.635 Å, I = 641, (1 1 3)
24.88 deg, d = 3.579 Å, I = 447, (3 1 -2)
27.00 deg, d = 3.303 Å, I = 1000, (0 2 2)
27.98 deg, d = 3.189 Å, I = 268, (2 2 -1)
28.24 deg, d = 3.160 Å, I = 256, (4 0 -2)
29.19 deg, d = 3.059 Å, I = 442, (4 0 0)